# 1
This entry pairs a crystal structure of PmDyIn4 with its computed X-ray powder pattern. Radiation: Cu Kα, 1.54184 Å. Structure: the GGA-PBE geometry in Alexandria.

Most intense lines, 10° ≤ 2θ ≤ 90°, by intensity:
2θ/deg  I/Imax
34.9  100
29.6  36
56.0  34
36.5  32
61.5  28
88.0  22
52.6  14
73.7  12
72.7  11
85.1  7
69.7  6
42.4  2

Atomic structure:
```
PmDyIn4
1.0
0.0000 4.2637 4.2637
4.2637 0.0000 4.2637
4.2637 4.2637 0.0000
Pm Dy In
1 1 4
Cartesian
0.0000 0.0000 0.0000
6.3956 6.3956 6.3956
3.1982 3.1982 3.1982
5.3293 5.3293 3.1982
5.3293 3.1982 5.3293
3.1982 5.3293 5.3293
```


# 2
This entry pairs a crystal structure of Pm5DyIn2 with its computed X-ray powder pattern. Radiation: Cu Kα, 1.54184 Å. Structure: the GGA-PBE geometry in Alexandria.

Most intense lines, 10° ≤ 2θ ≤ 90°, by intensity:
2θ/deg  I/Imax
31.4  100
52.4  35
36.3  34
62.3  28
36.5  17
62.5  14
65.5  12
85.8  12
88.5  11
85.7  6
88.7  5
77.2  4

Atomic structure:
```
Pm5DyIn2
1.0
6.9912 0.0000 0.0000
0.0000 13.9842 0.0000
0.0000 0.0000 4.9287
Pm Dy In
10 2 4
Cartesian
0.0000 0.0000 0.0000
0.0133 3.5194 0.0000
1.7416 12.2475 2.4644
1.7540 5.2554 2.4644
3.4823 10.5115 0.0000
3.4956 6.9921 0.0000
3.5089 3.4727 0.0000
5.2372 8.7288 2.4644
5.2496 1.7367 2.4644
6.9779 10.4648 0.0000
0.0000 6.9921 0.0000
3.4956 0.0000 0.0000
1.7225 8.7192 2.4644
1.7731 1.7271 2.4644
5.2181 12.2571 2.4644
5.2687 5.2650 2.4644
```